This entry pairs a crystal structure of K2MoAs2O9 with its calculated powder X-ray diffraction pattern. Radiation: Cu Kα. Structure: a cell relaxed with GGA+U.
Intensities are scaled so that the largest is 100.

Peak list (10 most intense, 5 to 70 degrees two-theta, by angle)
2θ/deg  Rel. int.
12.5  100
17.7  75
18.0  26
25.1  71
27.8  23
28.1  78
29.4  78
31.4  33
37.4  16
42.7  16

Structural model:
a = 7.6074 Å, b = 14.2148 Å, c = 9.7083 Å
α = 90.00°, β = 116.02°, γ = 90.00°
Fractional coordinates of all 56 atoms:
K (0.0396, 0.0900, 0.3564)
K (0.0396, 0.4100, 0.8564)
K (0.3377, 0.5470, 0.6247)
K (0.3377, 0.9530, 0.1247)
K (0.6623, 0.0470, 0.8753)
K (0.6623, 0.4530, 0.3753)
K (0.9604, 0.5900, 0.1436)
K (0.9604, 0.9100, 0.6436)
Mo (0.4308, 0.2160, 0.1730)
Mo (0.4308, 0.2840, 0.6730)
Mo (0.5692, 0.7160, 0.3270)
Mo (0.5692, 0.7840, 0.8270)
As (0.1376, 0.1595, 0.8082)
As (0.1376, 0.3405, 0.3082)
As (0.2787, 0.6655, 0.9629)
As (0.2787, 0.8345, 0.4629)
As (0.7213, 0.1655, 0.5371)
As (0.7213, 0.3345, 0.0371)
As (0.8624, 0.6595, 0.6918)
As (0.8624, 0.8405, 0.1918)
O (0.0692, 0.7275, 0.8216)
O (0.0692, 0.7725, 0.3216)
O (0.0754, 0.0551, 0.8533)
O (0.0754, 0.4449, 0.3533)
O (0.2103, 0.5635, 0.0077)
O (0.2103, 0.9365, 0.5077)
O (0.2107, 0.2379, 0.9627)
O (0.2107, 0.2621, 0.4627)
O (0.2978, 0.1577, 0.7280)
O (0.2978, 0.3423, 0.2280)
O (0.3060, 0.1393, 0.2401)
O (0.3060, 0.3607, 0.7401)
O (0.3500, 0.7450, 0.1155)
O (0.3500, 0.7550, 0.6155)
O (0.4392, 0.6614, 0.8829)
O (0.4392, 0.8386, 0.3829)
O (0.4449, 0.6361, 0.3898)
O (0.4449, 0.8639, 0.8898)
O (0.5551, 0.1361, 0.1102)
O (0.5551, 0.3639, 0.6102)
O (0.5608, 0.1614, 0.6171)
O (0.5608, 0.3386, 0.1171)
O (0.6500, 0.2450, 0.3845)
O (0.6500, 0.2550, 0.8845)
O (0.6940, 0.6393, 0.2599)
O (0.6940, 0.8607, 0.7599)
O (0.7022, 0.6577, 0.7720)
O (0.7022, 0.8423, 0.2720)
O (0.7893, 0.7379, 0.5373)
O (0.7893, 0.7621, 0.0373)
O (0.7897, 0.0635, 0.4923)
O (0.7897, 0.4365, 0.9923)
O (0.9246, 0.5551, 0.6467)
O (0.9246, 0.9449, 0.1467)
O (0.9308, 0.2275, 0.6784)
O (0.9308, 0.2725, 0.1784)

This entry pairs a crystal structure of K2Mo3As4O20 with its calculated powder X-ray diffraction pattern. Radiation: Cu Kα. Structure: a cell relaxed with GGA+U.
Intensities are scaled so that the largest is 100.

Peak list (10 most intense, 5 to 70 degrees two-theta, by angle)
2θ/deg  Rel. int.
14.7  72
20.8  65
21.0  61
22.2  56
23.9  56
24.7  100
27.0  95
30.6  58
33.7  58
34.0  54

Structural model:
a = 10.0193 Å, b = 10.0193 Å, c = 12.3968 Å
α = 110.48°, β = 110.48°, γ = 54.17°
Fractional coordinates of all 58 atoms:
K (0.1516, 0.6588, 0.9027)
K (0.3412, 0.8484, 0.5973)
K (0.6588, 0.1516, 0.4027)
K (0.8484, 0.3412, 0.0973)
Mo (0.1641, 0.1720, 0.3592)
Mo (0.1720, 0.1641, 0.8592)
Mo (0.4254, 0.5746, 0.2500)
Mo (0.5746, 0.4254, 0.7500)
Mo (0.8280, 0.8359, 0.1408)
Mo (0.8359, 0.8280, 0.6408)
As (0.1585, 0.4820, 0.2708)
As (0.2084, 0.5119, 0.5382)
As (0.4820, 0.1585, 0.7708)
As (0.4881, 0.7916, 0.9618)
As (0.5119, 0.2084, 0.0382)
As (0.5180, 0.8415, 0.2292)
As (0.7916, 0.4881, 0.4618)
As (0.8415, 0.5180, 0.7292)
O (0.0026, 0.5993, 0.1690)
O (0.0459, 0.5955, 0.6073)
O (0.0614, 0.0977, 0.2344)
O (0.0961, 0.1724, 0.9680)
O (0.0977, 0.0614, 0.7344)
O (0.1211, 0.6114, 0.4123)
O (0.1533, 0.3089, 0.2449)
O (0.1724, 0.0961, 0.4680)
O (0.2727, 0.6606, 0.1325)
O (0.2963, 0.3035, 0.4845)
O (0.3035, 0.2963, 0.9845)
O (0.3089, 0.1533, 0.7449)
O (0.3394, 0.7273, 0.3675)
O (0.3443, 0.5729, 0.6263)
O (0.3550, 0.4249, 0.2620)
O (0.3886, 0.8789, 0.0877)
O (0.4007, 0.9974, 0.3310)
O (0.4045, 0.9541, 0.8927)
O (0.4249, 0.3550, 0.7620)
O (0.4271, 0.6557, 0.8737)
O (0.5729, 0.3443, 0.1263)
O (0.5751, 0.6450, 0.2380)
O (0.5955, 0.0459, 0.1073)
O (0.5993, 0.0026, 0.6690)
O (0.6114, 0.1211, 0.9123)
O (0.6450, 0.5751, 0.7380)
O (0.6557, 0.4271, 0.3737)
O (0.6606, 0.2727, 0.6325)
O (0.6911, 0.8467, 0.2551)
O (0.6965, 0.7037, 0.0155)
O (0.7037, 0.6965, 0.5155)
O (0.7273, 0.3394, 0.8675)
O (0.8276, 0.9039, 0.5320)
O (0.8467, 0.6911, 0.7551)
O (0.8789, 0.3886, 0.5877)
O (0.9023, 0.9386, 0.2656)
O (0.9039, 0.8276, 0.0320)
O (0.9386, 0.9023, 0.7656)
O (0.9541, 0.4045, 0.3927)
O (0.9974, 0.4007, 0.8310)

What did the second record say?
This entry pairs a crystal structure of K2Mo3As4O20 with its calculated powder X-ray diffraction pattern. Radiation: Cu Kα. Structure: a cell relaxed with GGA+U.
Intensities are scaled so that the largest is 100.

Peak list (10 most intense, 5 to 70 degrees two-theta, by angle)
2θ/deg  Rel. int.
14.7  72
20.8  65
21.0  61
22.2  56
23.9  56
24.7  100
27.0  95
30.6  58
33.7  58
34.0  54

Structural model:
a = 10.0193 Å, b = 10.0193 Å, c = 12.3968 Å
α = 110.48°, β = 110.48°, γ = 54.17°
Fractional coordinates of all 58 atoms:
K (0.1516, 0.6588, 0.9027)
K (0.3412, 0.8484, 0.5973)
K (0.6588, 0.1516, 0.4027)
K (0.8484, 0.3412, 0.0973)
Mo (0.1641, 0.1720, 0.3592)
Mo (0.1720, 0.1641, 0.8592)
Mo (0.4254, 0.5746, 0.2500)
Mo (0.5746, 0.4254, 0.7500)
Mo (0.8280, 0.8359, 0.1408)
Mo (0.8359, 0.8280, 0.6408)
As (0.1585, 0.4820, 0.2708)
As (0.2084, 0.5119, 0.5382)
As (0.4820, 0.1585, 0.7708)
As (0.4881, 0.7916, 0.9618)
As (0.5119, 0.2084, 0.0382)
As (0.5180, 0.8415, 0.2292)
As (0.7916, 0.4881, 0.4618)
As (0.8415, 0.5180, 0.7292)
O (0.0026, 0.5993, 0.1690)
O (0.0459, 0.5955, 0.6073)
O (0.0614, 0.0977, 0.2344)
O (0.0961, 0.1724, 0.9680)
O (0.0977, 0.0614, 0.7344)
O (0.1211, 0.6114, 0.4123)
O (0.1533, 0.3089, 0.2449)
O (0.1724, 0.0961, 0.4680)
O (0.2727, 0.6606, 0.1325)
O (0.2963, 0.3035, 0.4845)
O (0.3035, 0.2963, 0.9845)
O (0.3089, 0.1533, 0.7449)
O (0.3394, 0.7273, 0.3675)
O (0.3443, 0.5729, 0.6263)
O (0.3550, 0.4249, 0.2620)
O (0.3886, 0.8789, 0.0877)
O (0.4007, 0.9974, 0.3310)
O (0.4045, 0.9541, 0.8927)
O (0.4249, 0.3550, 0.7620)
O (0.4271, 0.6557, 0.8737)
O (0.5729, 0.3443, 0.1263)
O (0.5751, 0.6450, 0.2380)
O (0.5955, 0.0459, 0.1073)
O (0.5993, 0.0026, 0.6690)
O (0.6114, 0.1211, 0.9123)
O (0.6450, 0.5751, 0.7380)
O (0.6557, 0.4271, 0.3737)
O (0.6606, 0.2727, 0.6325)
O (0.6911, 0.8467, 0.2551)
O (0.6965, 0.7037, 0.0155)
O (0.7037, 0.6965, 0.5155)
O (0.7273, 0.3394, 0.8675)
O (0.8276, 0.9039, 0.5320)
O (0.8467, 0.6911, 0.7551)
O (0.8789, 0.3886, 0.5877)
O (0.9023, 0.9386, 0.2656)
O (0.9039, 0.8276, 0.0320)
O (0.9386, 0.9023, 0.7656)
O (0.9541, 0.4045, 0.3927)
O (0.9974, 0.4007, 0.8310)